Diffraction record for Mg2PaSn2. The powder diffraction line list is simulated, not measured: it uses a PBE-relaxed structure and Cu Kα (weighted mean of Kα1 and Kα2).

Crystal structure
```
10
Lattice="5.0066 0.0000 0.0000 -2.5033 4.3358 0.0000 0.0000 0.0000 12.9467" Properties=species:S:1:pos:R:3 pbc="T T T"
Mg 0.0000 0.0000 0.0000
Mg 0.0000 0.0000 6.4733
Mg 0.0000 2.8905 3.2367
Mg 2.5033 1.4453 9.7100
Pa 0.0000 0.0000 3.2367
Pa 0.0000 0.0000 9.7100
Sn 0.0000 2.8905 8.1259
Sn 0.0000 2.8905 11.2942
Sn 2.5033 1.4453 1.6525
Sn 2.5033 1.4453 4.8208
```

Most intense lines, 10 to 80 degrees two-theta, most intense first:
2θ/deg	d [Å]	I (rel.)
34.58	2.594	100
35.87	2.503	95
13.68	6.473	63
24.71	3.602	59
21.61	4.111	41
63.64	1.462	36
50.68	1.801	35
29.20	3.059	32
38.56	2.335	32
69.12	1.359	29

***

Diffraction record for RbLi2Ce2S6. The powder diffraction line list is simulated, not measured: it uses a PBE-relaxed structure and Cu Kα (weighted mean of Kα1 and Kα2).

Crystal structure
```
11
Lattice="6.6809 0.0000 0.0000 0.0337 7.1920 0.0000 0.0144 3.5945 6.2310" Properties=species:S:1:pos:R:3 pbc="T T T"
Rb 0.0000 0.0000 0.0000
Li 3.3569 3.6008 2.0891
Li 3.3721 7.1857 4.1420
Ce 0.0161 3.5955 2.0786
Ce 6.7130 7.1909 4.1524
S 1.6777 5.1161 3.5819
S 1.6732 4.1215 0.0008
S 1.6940 8.7121 2.6506
S 5.0351 2.0744 3.5804
S 5.0559 6.6650 6.2303
S 5.0513 5.6704 2.6492
```

Most intense lines, 10 to 80 degrees two-theta, most intense first:
2θ/deg	d [Å]	I (rel.)
13.25	6.681	100
28.16	3.169	82
24.75	3.597	47
36.66	2.451	41
36.78	2.444	40
28.24	3.160	30
14.22	6.230	27
43.58	2.077	21
45.73	1.984	18
52.70	1.737	15

***

Diffraction record for LiNp4S8. The powder diffraction line list is simulated, not measured: it uses a PBE-relaxed structure and Cu Kα (weighted mean of Kα1 and Kα2).

Crystal structure
```
13
Lattice="-4.4613 4.4613 3.4478 4.4613 -4.4613 3.4478 4.4613 4.4613 -3.4478" Properties=species:S:1:pos:R:3 pbc="T T T"
Li 0.0000 0.0000 0.0000
Np 2.2306 2.2306 -1.7239
Np 2.2306 -2.2306 1.7239
Np -2.2306 2.2306 1.7239
Np 2.2306 2.2306 1.7239
S 2.3540 0.0000 0.0000
S 6.5685 0.0000 0.0000
S 4.4613 2.3138 0.0000
S 0.0000 2.3540 0.0000
S 2.3138 4.4613 0.0000
S 2.1474 0.0000 3.4478
S 0.0000 6.5685 0.0000
S 0.0000 2.1474 3.4478
```

Most intense lines, 10 to 80 degrees two-theta, most intense first:
2θ/deg	d [Å]	I (rel.)
19.90	4.461	100
38.69	2.327	63
32.83	2.728	61
53.03	1.727	32
40.44	2.231	28
45.46	1.995	25
28.29	3.155	22
72.37	1.306	20
25.84	3.448	13
72.46	1.304	13